Diffraction record for AlCd3Se4. The PXRD pattern is calculated, not measured: it uses a crystal structure in Alexandria, relaxed with PBE and Cu Kα (weighted mean of Kα1 and Kα2).
Kinematic intensities with the Lorentz-polarization factor, no thermal factor.

Crystal structure
```
data_AlCd3Se4
_chemical_formula_sum 'Al2 Cd6 Se8'
_cell_length_a 6.249
_cell_length_b 6.249
_cell_length_c 11.984
_cell_angle_alpha 90.00
_cell_angle_beta 90.00
_cell_angle_gamma 90.00
_space_group_name_H-M_alt 'I -4 2 m'
_space_group_IT_number 121
_space_group_name_Hall 'I -4 2'
loop_
_atom_site_label
_atom_site_type_symbol
_atom_site_fract_x
_atom_site_fract_y
_atom_site_fract_z
_atom_site_occupancy
Al1 Al 0.000 0.000 0.000 1
Cd1 Cd 0.000 0.000 0.500 1
Cd2 Cd 0.000 0.500 0.250 1
Se1 Se 0.227 0.227 0.882 1
```

The 6 most intense peaks (2θ = 10–80°), by angle:
2θ/deg  I_rel
25.04  100
40.85  25
41.77  48
48.51  30
50.12  15
75.00  14